Record 1
For NdYIn2Ir4, a structure optimized by DFT (GGA-PBE) gives the computed X-ray diffraction stick pattern in this record (CuKα).

Atomic structure:
a b c (Å): 4.5850 4.5850 8.9828
angles (deg): 90.00 90.00 120.00
Space group P-6m2 (No. 187)
Unique sites:
Nd 0.0000 0.0000 0.0000 (multiplicity 1)
Y 0.3333 0.6667 0.5000 (multiplicity 1)
In 0.6667 0.3333 0.2533 (multiplicity 2)
Ir 0.0000 0.0000 0.3558 (multiplicity 2)
Ir 0.3333 0.6667 0.1614 (multiplicity 2)

Main lines, low angle first (2θ from 10° to 90°):
| 2θ/deg | d/Å | intensity | hkl |
| --- | --- | --- | --- |
| 22.39 | 3.971 | 19 | 1 0 0 |
| 24.51 | 3.632 | 13 | 1 0 1 |
| 30.04 | 2.975 | 17 | 1 0 2 |
| 37.62 | 2.391 | 100 | 1 0 3 |
| 39.30 | 2.293 | 97 | 1 1 0 |
| 46.46 | 1.955 | 13 | 1 0 4 |
| 55.54 | 1.655 | 33 | 2 0 3 |
| 66.78 | 1.401 | 12 | 1 0 6 |
| 70.14 | 1.342 | 33 | 2 1 3 |
| 71.25 | 1.324 | 17 | 3 0 0 |

---

Record 2
For InNiIrPd, a structure optimized by DFT (GGA-PBE) gives the computed X-ray diffraction stick pattern in this record (CuKα).

Atomic structure:
a b c (Å): 6.2526 6.2526 6.2526
angles (deg): 90.00 90.00 90.00
Space group F-43m (No. 216)
Unique sites:
In 0.0000 0.0000 0.0000 (multiplicity 4)
Ni 0.2500 0.2500 0.2500 (multiplicity 4)
Ir 0.0000 0.0000 0.5000 (multiplicity 4)
Pd 0.2500 0.2500 0.7500 (multiplicity 4)

Main lines, low angle first (2θ from 10° to 90°):
| 2θ/deg | d/Å | intensity | hkl |
| --- | --- | --- | --- |
| 24.66 | 3.610 | 7 | 1 1 1 |
| 28.55 | 3.126 | 10 | 2 0 0 |
| 40.82 | 2.211 | 100 | 2 2 0 |
| 48.27 | 1.885 | 4 | 3 1 1 |
| 50.57 | 1.805 | 3 | 2 2 2 |
| 59.10 | 1.563 | 17 | 4 0 0 |
| 65.02 | 1.434 | 2 | 3 3 1 |
| 66.93 | 1.398 | 4 | 4 2 0 |
| 74.32 | 1.276 | 33 | 4 2 2 |
| 88.45 | 1.105 | 11 | 4 4 0 |

---

Record 3
For Pr3InNiSn2Ir2, a structure optimized by DFT (GGA-PBE) gives the computed X-ray diffraction stick pattern in this record (CuKα).

Atomic structure:
a b c (Å): 4.1450 13.0281 7.5262
angles (deg): 90.00 90.00 90.00
Space group Amm2 (No. 38)
Unique sites:
Pr 0.0000 0.0000 0.0000 (multiplicity 2)
Pr 0.0000 0.2065 0.6195 (multiplicity 4)
In 0.5000 0.0000 0.6594 (multiplicity 2)
Ni 0.0000 0.0000 0.4048 (multiplicity 2)
Sn 0.5000 0.1219 0.2917 (multiplicity 4)
Ir 0.5000 0.1684 0.9160 (multiplicity 4)

Main lines, low angle first (2θ from 10° to 90°):
| 2θ/deg | d/Å | intensity | hkl |
| --- | --- | --- | --- |
| 32.13 | 2.786 | 100 | 1 3 1 |
| 35.03 | 2.561 | 83 | 1 2 2 |
| 36.48 | 2.463 | 51 | 0 1 3 |
| 41.58 | 2.172 | 30 | 0 3 3 |
| 42.71 | 2.117 | 27 | 1 5 1 |
| 43.67 | 2.073 | 27 | 2 0 0 |
| 58.18 | 1.586 | 27 | 2 1 3 |
| 61.88 | 1.499 | 19 | 2 3 3 |
| 66.49 | 1.406 | 25 | 1 8 2 |
| 69.95 | 1.345 | 16 | 1 3 5 |

---

Question: What is the formula in the first record?
Answer: NdYIn2Ir4

---

Repeat the second record exactly.
For InNiIrPd, a structure optimized by DFT (GGA-PBE) gives the computed X-ray diffraction stick pattern in this record (CuKα).

Atomic structure:
a b c (Å): 6.2526 6.2526 6.2526
angles (deg): 90.00 90.00 90.00
Space group F-43m (No. 216)
Unique sites:
In 0.0000 0.0000 0.0000 (multiplicity 4)
Ni 0.2500 0.2500 0.2500 (multiplicity 4)
Ir 0.0000 0.0000 0.5000 (multiplicity 4)
Pd 0.2500 0.2500 0.7500 (multiplicity 4)

Main lines, low angle first (2θ from 10° to 90°):
| 2θ/deg | d/Å | intensity | hkl |
| --- | --- | --- | --- |
| 24.66 | 3.610 | 7 | 1 1 1 |
| 28.55 | 3.126 | 10 | 2 0 0 |
| 40.82 | 2.211 | 100 | 2 2 0 |
| 48.27 | 1.885 | 4 | 3 1 1 |
| 50.57 | 1.805 | 3 | 2 2 2 |
| 59.10 | 1.563 | 17 | 4 0 0 |
| 65.02 | 1.434 | 2 | 3 3 1 |
| 66.93 | 1.398 | 4 | 4 2 0 |
| 74.32 | 1.276 | 33 | 4 2 2 |
| 88.45 | 1.105 | 11 | 4 4 0 |